# CuC32N8Cl16
Theoretical XRD peak list, Cu Kα X-rays. Input: a PBE-relaxed structure.
No peak broadening, texture or thermal motion is included.

Atomic structure:
```
data_CuC32N8Cl16
_symmetry_space_group_name_H-M 'C 1 2/m 1'
_symmetry_Int_Tables_number 12
_symmetry_space_group_name_Hall '-C 2y'
_cell_length_a 17.6617
_cell_length_b 26.1126
_cell_length_c 3.8256
_cell_angle_alpha 90.00
_cell_angle_beta 95.40
_cell_angle_gamma 90.00
loop_
_atom_site_label
_atom_site_type_symbol
_atom_site_fract_x
_atom_site_fract_y
_atom_site_fract_z
Cu1 Cu 0.0000 0.0000 0.0000
C1 C 0.0368 0.1597 0.9415
C2 C 0.0374 0.2521 0.9485
C3 C 0.0572 0.1060 0.8967
C4 C 0.0751 0.2057 0.8915
C5 C 0.1385 0.0429 0.7178
C6 C 0.1671 0.4730 0.6383
C7 C 0.2091 0.0271 0.5789
C8 C 0.2296 0.4453 0.5340
N1 N 0.0000 0.0753 0.0000
N2 N 0.0977 0.0000 0.7933
N3 N 0.1204 0.0914 0.7658
Cl1 Cl 0.0822 0.3089 0.8902
Cl2 Cl 0.0901 0.4408 0.7657
Cl3 Cl 0.1658 0.2075 0.7727
Cl4 Cl 0.2287 0.3802 0.5498
```

The 8 most intense peaks (2θ = 10–90°), by intensity:
26.4 deg, rel. 100
24.4 deg, rel. 14
34.2 deg, rel. 11
33.2 deg, rel. 10
37.1 deg, rel. 9
31.2 deg, rel. 9
30.6 deg, rel. 9
28.4 deg, rel. 8

***

# Dy2Sc2CCl2F3
Theoretical XRD peak list, Cu Kα X-rays. Input: a PBE-relaxed structure.
No peak broadening, texture or thermal motion is included.

Atomic structure:
```
data_Dy2Sc2CCl2F3
_symmetry_space_group_name_H-M 'C 1 2/m 1'
_symmetry_Int_Tables_number 12
_symmetry_space_group_name_Hall '-C 2y'
_cell_length_a 15.6017
_cell_length_b 3.4096
_cell_length_c 6.8639
_cell_angle_alpha 90.00
_cell_angle_beta 105.78
_cell_angle_gamma 90.00
loop_
_atom_site_label
_atom_site_type_symbol
_atom_site_fract_x
_atom_site_fract_y
_atom_site_fract_z
Dy1 Dy 0.0120 0.0000 0.2458
Sc1 Sc 0.1470 0.5000 0.0781
C1 C 0.0000 0.5000 0.0000
Cl1 Cl 0.1699 0.0000 0.8049
F1 F 0.0000 0.5000 0.5000
F2 F 0.1648 0.0000 0.2835
```

The 8 most intense peaks (2θ = 10–90°), by intensity:
11.8 deg, rel. 100
37.2 deg, rel. 53
26.8 deg, rel. 37
35.9 deg, rel. 25
53.7 deg, rel. 25
27.0 deg, rel. 24
39.6 deg, rel. 23
38.8 deg, rel. 19

***

Please write out number 2 again, unchanged.
# Dy2Sc2CCl2F3
Theoretical XRD peak list, Cu Kα X-rays. Input: a PBE-relaxed structure.
No peak broadening, texture or thermal motion is included.

Atomic structure:
```
data_Dy2Sc2CCl2F3
_symmetry_space_group_name_H-M 'C 1 2/m 1'
_symmetry_Int_Tables_number 12
_symmetry_space_group_name_Hall '-C 2y'
_cell_length_a 15.6017
_cell_length_b 3.4096
_cell_length_c 6.8639
_cell_angle_alpha 90.00
_cell_angle_beta 105.78
_cell_angle_gamma 90.00
loop_
_atom_site_label
_atom_site_type_symbol
_atom_site_fract_x
_atom_site_fract_y
_atom_site_fract_z
Dy1 Dy 0.0120 0.0000 0.2458
Sc1 Sc 0.1470 0.5000 0.0781
C1 C 0.0000 0.5000 0.0000
Cl1 Cl 0.1699 0.0000 0.8049
F1 F 0.0000 0.5000 0.5000
F2 F 0.1648 0.0000 0.2835
```

The 8 most intense peaks (2θ = 10–90°), by intensity:
11.8 deg, rel. 100
37.2 deg, rel. 53
26.8 deg, rel. 37
35.9 deg, rel. 25
53.7 deg, rel. 25
27.0 deg, rel. 24
39.6 deg, rel. 23
38.8 deg, rel. 19